Record 1
For O, a crystal structure in the Materials Project, relaxed with PBE gives the theoretical X-ray powder pattern in this record (Cu Kα (weighted mean of Kα1 and Kα2)).
Lines closer than 0.1° are merged.

Largest 10 diffraction maxima, in order of rising 2θ, 10 to 80 degrees two-theta:
- (0 0 1), 23.8°, I 31.9
- (1 1 0), 31.2°, I 100.0
- (2 0 -1), 32.6°, I 39.8
- (1 1 -1), 33.6°, I 48.6
- (2 0 0), 36.8°, I 21.9
- (0 2 0), 51.7°, I 9.1
- (3 1 -1), 55.8°, I 13.2
- (2 2 -1), 62.5°, I 7.0
- (2 2 0), 65.1°, I 4.8
- (1 1 -3), 73.8°, I 4.7

Crystal structure
a = 5.596 Å, b = 3.533 Å, c = 4.274 Å
α = 90.00°, β = 119.07°, γ = 90.00°
Fractional positions:
1 O 0.048 0.000 0.164
2 O 0.452 0.500 0.836
3 O 0.548 0.500 0.164
4 O 0.952 0.000 0.836

***

Record 2
For O, a crystal structure in the Materials Project, relaxed with PBE gives the theoretical X-ray powder pattern in this record (Cu Kα (weighted mean of Kα1 and Kα2)).
Lines closer than 0.1° are merged.

Largest 10 diffraction maxima, in order of rising 2θ, 10 to 80 degrees two-theta:
- (1 0 1), 20.8°, I 8.0
- (1 1 0), 24.4°, I 30.5
- (1 1 1), 27.1°, I 18.5
- (1 0 2), 29.3°, I 100.0
- (1 1 2), 34.1°, I 10.9
- (1 2 0), 39.0°, I 7.2
- (1 2 1), 40.8°, I 7.9
- (1 1 3), 43.7°, I 4.1
- (0 0 4), 48.2°, I 9.9
- (3 0 1), 54.7°, I 9.9

Crystal structure
a = 5.168 Å, b = 5.168 Å, c = 7.549 Å
α = 90.00°, β = 90.00°, γ = 90.00°
Fractional positions:
1 O 0.010 0.488 0.000
2 O 0.071 0.731 0.001
3 O 0.231 0.570 0.499
4 O 0.269 0.071 0.251
5 O 0.430 0.231 0.749
6 O 0.488 0.990 0.750
7 O 0.512 0.010 0.250
8 O 0.570 0.769 0.249
9 O 0.731 0.929 0.751
10 O 0.769 0.430 0.999
11 O 0.929 0.269 0.501
12 O 0.990 0.512 0.500

***

Record 3
For O, a crystal structure in the Materials Project, relaxed with PBE gives the theoretical X-ray powder pattern in this record (Cu Kα (weighted mean of Kα1 and Kα2)).
Lines closer than 0.1° are merged.

Largest 10 diffraction maxima, in order of rising 2θ, 10 to 80 degrees two-theta:
- (0 0 1), 21.3°, I 45.5
- (1 1 0), 28.2°, I 100.0
- (1 1 -1), 29.4°, I 76.5
- (0 2 0), 38.1°, I 22.5
- (2 0 -1), 38.2°, I 21.7
- (2 0 0), 42.5°, I 7.6
- (0 2 1), 44.0°, I 9.6
- (2 2 -1), 55.0°, I 10.9
- (3 1 -1), 62.5°, I 6.2
- (1 3 0), 62.9°, I 5.5

Crystal structure
a = 4.725 Å, b = 4.730 Å, c = 4.626 Å
α = 90.00°, β = 115.71°, γ = 90.00°
Fractional positions:
1 O 0.063 0.000 0.148
2 O 0.437 0.500 0.852
3 O 0.563 0.500 0.148
4 O 0.937 0.000 0.852

***

Record 4
For O, a crystal structure in the Materials Project, relaxed with PBE gives the theoretical X-ray powder pattern in this record (Cu Kα (weighted mean of Kα1 and Kα2)).
Lines closer than 0.1° are merged.

Largest 10 diffraction maxima, in order of rising 2θ, 10 to 80 degrees two-theta:
- (0 0 3), 23.8°, I 22.8
- (1 0 1), 31.9°, I 100.0
- (0 1 2), 34.9°, I 50.4
- (0 0 6), 48.8°, I 2.0
- (1 1 0), 54.9°, I 15.8
- (1 1 3), 60.6°, I 5.4
- (0 2 1), 64.9°, I 7.0
- (2 0 2), 66.7°, I 8.2
- (0 1 8), 75.4°, I 3.8
- (0 0 9), 76.5°, I 3.3

Crystal structure
a = 3.346 Å, b = 3.346 Å, c = 11.206 Å
α = 90.00°, β = 90.00°, γ = 120.00°
Fractional positions:
1 O 0.000 0.000 0.055
2 O 0.000 0.000 0.945
3 O 0.333 0.667 0.612
4 O 0.333 0.667 0.722
5 O 0.667 0.333 0.278
6 O 0.667 0.333 0.388

***

Record 5
For O, a crystal structure in the Materials Project, relaxed with PBE gives the theoretical X-ray powder pattern in this record (Cu Kα (weighted mean of Kα1 and Kα2)).
Lines closer than 0.1° are merged.

Largest 10 diffraction maxima, in order of rising 2θ, 10 to 80 degrees two-theta:
- (0 0 2), 22.3°, I 69.9
- (1 0 0), 41.3°, I 24.4
- (1 0 1), 42.9°, I 100.0
- (0 0 4), 45.5°, I 2.9
- (1 0 2), 47.4°, I 9.3
- (1 0 4), 63.1°, I 1.2
- (0 0 6), 71.0°, I 3.6
- (1 0 5), 73.5°, I 8.5
- (1 1 0), 75.3°, I 9.1
- (1 1 2), 79.7°, I 4.8

Crystal structure
a = 2.524 Å, b = 2.524 Å, c = 7.969 Å
α = 90.00°, β = 90.00°, γ = 120.00°
Fractional positions:
1 O 0.333 0.667 0.173
2 O 0.333 0.667 0.327
3 O 0.667 0.333 0.673
4 O 0.667 0.333 0.827

***

Record 6
For O, a crystal structure in the Materials Project, relaxed with PBE gives the theoretical X-ray powder pattern in this record (Cu Kα (weighted mean of Kα1 and Kα2)).
Lines closer than 0.1° are merged.

Largest 10 diffraction maxima, in order of rising 2θ, 10 to 80 degrees two-theta:
- (1 1 0), 25.1°, I 58.6
- (0 1 -2), 28.4°, I 50.7
- (0 1 2), 28.7°, I 100.0
- (1 0 2), 29.2°, I 50.5
- (1 1 -2), 33.6°, I 8.4
- (-1 1 2), 33.8°, I 7.6
- (1 -1 2), 34.0°, I 6.7
- (1 2 0), 39.7°, I 8.8
- (2 -1 0), 40.6°, I 7.7
- (0 0 4), 46.0°, I 22.9

Crystal structure
a = 4.931 Å, b = 5.122 Å, c = 7.899 Å
α = 90.63°, β = 91.07°, γ = 90.12°
Fractional positions:
1 O 0.000 0.000 0.000
2 O 0.046 0.754 0.000
3 O 0.106 0.795 0.501
4 O 0.168 0.552 0.497
5 O 0.295 0.679 0.002
6 O 0.349 0.182 0.253
7 O 0.496 0.047 0.759
8 O 0.554 0.291 0.753
9 O 0.602 0.246 0.252
10 O 0.661 0.490 0.248
11 O 0.805 0.356 0.745
12 O 0.853 0.855 0.505